# CaB5C2
Theoretical X-ray powder pattern, CuKα. Input: a PBE-relaxed structure.

Most intense lines, 10 to 90 degrees two-theta, most intense first:
30.8 deg, I = 100, hkl 0 2 0; 37.6 deg, I = 57, hkl 1 1 2; 45.8 deg, I = 51, hkl 2 1 1; 20.5 deg, I = 43, hkl 0 1 1; 44.6 deg, I = 24, hkl 0 1 3; 24.2 deg, I = 17, hkl 1 0 1; 65.6 deg, I = 15, hkl 2 3 1; 80.2 deg, I = 14, hkl 2 2 4; 56.9 deg, I = 13, hkl 1 2 3; 46.6 deg, I = 12, hkl 1 0 3

Cell: 4.452 5.798 6.506 Å, 90.00 90.00 90.00°
Space group Immm (No. 71)
Symmetry-distinct sites (fractional):
Ca  0.000  0.000  0.000 [2 per cell]
B  0.000  0.500  0.500 [2 per cell]
B  0.203  0.000  0.371 [8 per cell]
C  0.000  0.500  0.274 [4 per cell]

---

# NaMg2H3S2O8
Theoretical X-ray powder pattern, CuKα. Input: a PBE-relaxed structure.

Most intense lines, 10 to 90 degrees two-theta, most intense first:
12.9 deg, I = 100, hkl 0 1 0; 26.0 deg, I = 51, hkl 0 2 0; 28.0 deg, I = 45, hkl -2 1 1; 31.7 deg, I = 45, hkl 0 2 1; 22.3 deg, I = 38, hkl 0 0 2; 29.5 deg, I = 31, hkl 0 1 2; 31.8 deg, I = 26, hkl 1 1 -3; 28.2 deg, I = 25, hkl 0 2 -2; 40.0 deg, I = 23, hkl 0 2 2; 34.6 deg, I = 21, hkl 1 -3 0

Cell: 6.386 7.874 8.969 Å, 98.98 109.86 112.71°
Space group P-1 (No. 2)
Symmetry-distinct sites (fractional):
Na  0.063  0.170  0.411 [2 per cell]
Mg  0.000  0.000  0.000 [1 per cell]
Mg  0.315  0.824  0.311 [2 per cell]
Mg  0.500  0.000  0.000 [1 per cell]
H  0.051  0.563  0.767 [2 per cell]
H  0.114  0.716  0.000 [2 per cell]
H  0.200  0.439  0.232 [2 per cell]
S  0.263  0.255  0.797 [2 per cell]
S  0.439  0.704  0.659 [2 per cell]
O  0.008  0.822  0.341 [2 per cell]
O  0.103  0.513  0.220 [2 per cell]
O  0.212  0.853  0.072 [2 per cell]
O  0.232  0.085  0.874 [2 per cell]
O  0.285  0.246  0.227 [2 per cell]
O  0.326  0.752  0.778 [2 per cell]
O  0.397  0.231  0.689 [2 per cell]
O  0.473  0.864  0.575 [2 per cell]

---

What is the formula in the first record?
CaB5C2